Starting from a structure optimized by DFT (PBE+U), the powder diffraction line list of KLaMnWO6 was simulated for CuKα.
Intensities are scaled so that the largest is 100.

The 12 most intense peaks (2θ from 10° to 80°), low angle first:
- 10.71 deg, d 8.258, I 29
- 18.79 deg, d 4.722, I 42
- 24.44 deg, d 3.642, I 18
- 30.81 deg, d 2.902, I 68
- 31.00 deg, d 2.885, I 100
- 31.25 deg, d 2.863, I 33
- 43.85 deg, d 2.064, I 20
- 44.64 deg, d 2.030, I 38
- 54.68 deg, d 1.679, I 23
- 55.08 deg, d 1.667, I 19
- 55.22 deg, d 1.663, I 27
- 55.53 deg, d 1.655, I 15

Structure:
```
KLaMnWO6
1.0
5.7255 0.0000 0.0000
0.0000 5.7574 0.0000
-0.0590 0.0000 8.2580
K La Mn W O
2 2 2 2 12
direct
0.2427 0.0000 0.0008
0.7573 0.5000 0.9992
0.2490 0.9507 0.5002
0.7510 0.4507 0.4998
0.2545 0.4826 0.7579
0.7455 0.9826 0.2421
0.2428 0.4881 0.2500
0.7572 0.9881 0.7500
0.0226 0.7863 0.7538
0.0507 0.7641 0.2433
0.1758 0.5093 0.4947
0.2930 0.4822 0.0254
0.4568 0.2282 0.3063
0.4881 0.1972 0.6933
0.5119 0.6972 0.3067
0.5432 0.7282 0.6937
0.7070 0.9822 0.9746
0.8242 0.0093 0.5053
0.9493 0.2641 0.7567
0.9774 0.2863 0.2462
```